1.
Diffraction record for BaSiH2O4. The X-ray diffraction stick pattern is simulated, not measured: it uses a crystal structure in the Materials Project, relaxed with PBE and copper Kα.
Intensities are scaled so that the largest is 100.

Main lines, by intensity (5 to 70 degrees two-theta):
d 3.851, 2θ 23.09, intensity 100; d 3.697, 2θ 24.08, intensity 96; d 3.209, 2θ 27.80, intensity 66; d 3.195, 2θ 27.92, intensity 66; d 3.978, 2θ 22.35, intensity 58; d 2.667, 2θ 33.60, intensity 53; d 2.677, 2θ 33.47, intensity 38; d 3.416, 2θ 26.09, intensity 37; d 2.685, 2θ 33.37, intensity 37; d 4.593, 2θ 19.33, intensity 35

Structural model:
Cell lengths 7.1979, 7.5542, 7.7029 Å; angles 89.92, 89.68, 78.14 degrees
Space group P-1 (No. 2)
One atom of each set of equivalent atoms:
Ba  0.0834  0.2865  0.2049 [2 per cell]
Ba  0.4141  0.2180  0.7052 [2 per cell]
Si  0.0945  0.7564  0.2644 [2 per cell]
Si  0.4050  0.7516  0.7643 [2 per cell]
H  0.0975  0.0330  0.5663 [2 per cell]
H  0.2268  0.9158  0.9902 [2 per cell]
H  0.2734  0.5980  0.4908 [2 per cell]
H  0.4058  0.4653  0.0786 [2 per cell]
O  0.0311  0.3381  0.8643 [2 per cell]
O  0.0440  0.1624  0.5586 [2 per cell]
O  0.2008  0.9094  0.1877 [2 per cell]
O  0.2509  0.9220  0.8574 [2 per cell]
O  0.2546  0.5908  0.3575 [2 per cell]
O  0.2943  0.6012  0.6898 [2 per cell]
O  0.4568  0.3369  0.0619 [2 per cell]
O  0.4662  0.1598  0.3677 [2 per cell]

---

2.
Diffraction record for MgB7. The X-ray diffraction stick pattern is simulated, not measured: it uses a crystal structure in the Materials Project, relaxed with PBE and copper Kα.
Intensities are scaled so that the largest is 100.

Main lines, by intensity (5 to 70 degrees two-theta):
d 2.185, 2θ 41.31, intensity 100; d 2.229, 2θ 40.47, intensity 42; d 3.542, 2θ 25.14, intensity 33; d 6.412, 2θ 13.81, intensity 32; d 2.708, 2θ 33.08, intensity 31; d 2.137, 2θ 42.29, intensity 30; d 2.419, 2θ 37.17, intensity 26; d 1.678, 2θ 54.72, intensity 26; d 1.603, 2θ 57.48, intensity 21; d 1.745, 2θ 52.45, intensity 16

Structural model:
Cell lengths 5.9740, 10.4674, 8.1121 Å; angles 90.00, 90.00, 90.00 degrees
Space group Imma (No. 74)
One atom of each set of equivalent atoms:
Mg  0.0000  0.2500  0.1362 [4 per cell]
Mg  0.2500  0.2500  0.7500 [4 per cell]
B  0.0000  0.0822  0.6764 [8 per cell]
B  0.0000  0.1409  0.8849 [8 per cell]
B  0.0000  0.1661  0.4757 [8 per cell]
B  0.1554  0.0635  0.3368 [16 per cell]
B  0.2464  0.0778  0.5447 [16 per cell]

---

3.
Diffraction record for NaAlO3. The X-ray diffraction stick pattern is simulated, not measured: it uses a crystal structure in the Materials Project, relaxed with PBE and copper Kα.
Intensities are scaled so that the largest is 100.

Main lines, by intensity (5 to 70 degrees two-theta):
d 1.877, 2θ 48.49, intensity 100; d 2.655, 2θ 33.76, intensity 75; d 2.168, 2θ 41.67, intensity 46; d 3.754, 2θ 23.70, intensity 35; d 1.533, 2θ 60.39, intensity 30; d 1.679, 2θ 54.66, intensity 9

Structural model:
Cell lengths 3.7544, 3.7544, 3.7544 Å; angles 90.00, 90.00, 90.00 degrees
Space group Pm-3m (No. 221)
One atom of each set of equivalent atoms:
Na  0.0000  0.0000  0.0000 [1 per cell]
Al  0.5000  0.5000  0.5000 [1 per cell]
O  0.0000  0.5000  0.5000 [3 per cell]

---

4.
Diffraction record for CsAsF4. The X-ray diffraction stick pattern is simulated, not measured: it uses a crystal structure in the Materials Project, relaxed with PBE and copper Kα.
Intensities are scaled so that the largest is 100.

Main lines, by intensity (5 to 70 degrees two-theta):
d 3.859, 2θ 23.05, intensity 100; d 4.047, 2θ 21.97, intensity 45; d 3.198, 2θ 27.89, intensity 32; d 3.121, 2θ 28.60, intensity 25; d 2.510, 2θ 35.77, intensity 23; d 2.454, 2θ 36.62, intensity 21; d 2.595, 2θ 34.56, intensity 18; d 3.383, 2θ 26.35, intensity 15; d 2.633, 2θ 34.05, intensity 13; d 4.216, 2θ 21.07, intensity 13

Structural model:
Cell lengths 6.7655, 4.9081, 8.7653 Å; angles 90.00, 112.58, 90.00 degrees
Space group P2_1 (No. 4)
One atom of each set of equivalent atoms:
Cs  0.1868  0.0000  0.2837 [2 per cell]
As  0.3455  0.0054  0.8084 [2 per cell]
F  0.1144  0.0616  0.6215 [2 per cell]
F  0.1412  0.9750  0.9141 [2 per cell]
F  0.3370  0.6372  0.7935 [2 per cell]
F  0.4899  0.4950  0.3326 [2 per cell]

---

5.
Diffraction record for Ba3SrSn12. The X-ray diffraction stick pattern is simulated, not measured: it uses a crystal structure in the Materials Project, relaxed with PBE and copper Kα.
Intensities are scaled so that the largest is 100.

Main lines, by intensity (5 to 70 degrees two-theta):
d 2.745, 2θ 32.63, intensity 100; d 2.773, 2θ 32.28, intensity 52; d 2.671, 2θ 33.56, intensity 35; d 3.199, 2θ 27.89, intensity 25; d 1.556, 2θ 59.41, intensity 18; d 1.529, 2θ 60.56, intensity 17; d 1.865, 2θ 48.84, intensity 16; d 2.050, 2θ 44.18, intensity 14; d 3.245, 2θ 27.49, intensity 12; d 1.532, 2θ 60.41, intensity 11

Structural model:
Cell lengths 5.3410, 7.3541, 12.9805 Å; angles 90.00, 90.00, 90.00 degrees
Space group Pmm2 (No. 25)
One atom of each set of equivalent atoms:
Ba  0.0000  0.0000  0.0000 [1 per cell]
Ba  0.0000  0.5000  0.4991 [1 per cell]
Ba  0.5000  0.5000  0.8338 [1 per cell]
Sr  0.5000  0.0000  0.3331 [1 per cell]
Sn  0.0000  0.0000  0.5206 [1 per cell]
Sn  0.0000  0.2125  0.7365 [2 per cell]
Sn  0.0000  0.2820  0.2391 [2 per cell]
Sn  0.0000  0.5000  0.0253 [1 per cell]
Sn  0.5000  0.0000  0.8088 [1 per cell]
Sn  0.5000  0.2122  0.5942 [2 per cell]
Sn  0.5000  0.2858  0.0970 [2 per cell]
Sn  0.5000  0.5000  0.3097 [1 per cell]

---

6.
Diffraction record for TmCo5Si3. The X-ray diffraction stick pattern is simulated, not measured: it uses a crystal structure in the Materials Project, relaxed with PBE and copper Kα.
Intensities are scaled so that the largest is 100.

Main lines, by intensity (5 to 70 degrees two-theta):
d 2.285, 2θ 39.43, intensity 100; d 2.406, 2θ 37.38, intensity 27; d 1.832, 2θ 49.77, intensity 20; d 2.921, 2θ 30.60, intensity 18; d 2.545, 2θ 35.27, intensity 16; d 1.688, 2θ 54.36, intensity 15; d 1.630, 2θ 56.44, intensity 13; d 3.280, 2θ 27.19, intensity 12; d 2.040, 2θ 44.41, intensity 11; d 2.124, 2θ 42.57, intensity 11

Structural model:
Cell lengths 14.7136, 14.7136, 3.6641 Å; angles 90.00, 90.00, 120.00 degrees
Space group P6_3/m (No. 176)
One atom of each set of equivalent atoms:
Tm  0.1007  0.7066  0.2500 [6 per cell]
Co  0.0289  0.8990  0.2500 [6 per cell]
Co  0.0482  0.2676  0.2500 [6 per cell]
Co  0.0744  0.5340  0.7500 [6 per cell]
Co  0.1480  0.4133  0.7500 [6 per cell]
Co  0.2252  0.5724  0.2500 [6 per cell]
Si  0.0615  0.4314  0.2500 [6 per cell]
Si  0.1180  0.8697  0.7500 [6 per cell]
Si  0.2384  0.6819  0.7500 [6 per cell]

---

7.
Diffraction record for BaSi2. The X-ray diffraction stick pattern is simulated, not measured: it uses a crystal structure in the Materials Project, relaxed with PBE and copper Kα.
Intensities are scaled so that the largest is 100.

Main lines, by intensity (5 to 70 degrees two-theta):
d 2.957, 2θ 30.22, intensity 100; d 3.544, 2θ 25.12, intensity 33; d 2.046, 2θ 44.26, intensity 24; d 2.138, 2θ 42.26, intensity 22; d 1.627, 2θ 56.57, intensity 19; d 1.683, 2θ 54.53, intensity 18; d 5.363, 2θ 16.53, intensity 16; d 2.681, 2θ 33.42, intensity 14; d 1.596, 2θ 57.76, intensity 13; d 1.912, 2θ 47.56, intensity 7

Structural model:
Cell lengths 4.0928, 4.0928, 5.3629 Å; angles 90.00, 90.00, 120.00 degrees
Space group P-3m1 (No. 164)
One atom of each set of equivalent atoms:
Ba  0.0000  0.0000  0.0000 [1 per cell]
Si  0.3333  0.6667  0.5667 [2 per cell]

---

8.
Diffraction record for Sr2CuTeO2. The X-ray diffraction stick pattern is simulated, not measured: it uses a crystal structure in the Materials Project, relaxed with PBE and copper Kα.
Intensities are scaled so that the largest is 100.

Main lines, by intensity (5 to 70 degrees two-theta):
d 2.723, 2θ 32.89, intensity 100; d 2.844, 2θ 31.45, intensity 50; d 1.618, 2θ 56.92, intensity 40; d 2.011, 2θ 45.08, intensity 26; d 1.551, 2θ 59.61, intensity 12; d 3.534, 2θ 25.20, intensity 12; d 1.362, 2θ 68.97, intensity 11; d 1.864, 2θ 48.87, intensity 8; d 1.422, 2θ 65.65, intensity 8; d 1.850, 2θ 49.25, intensity 8

Structural model:
Cell lengths 4.0225, 4.0225, 7.4005 Å; angles 90.00, 90.00, 90.00 degrees
Space group P4/mmm (No. 123)
One atom of each set of equivalent atoms:
Sr  0.0000  0.0000  0.2204 [2 per cell]
Cu  0.5000  0.5000  0.0000 [1 per cell]
Te  0.5000  0.5000  0.5000 [1 per cell]
O  0.0000  0.5000  0.0000 [2 per cell]

---

9.
Diffraction record for ZnSn2O4. The X-ray diffraction stick pattern is simulated, not measured: it uses a crystal structure in the Materials Project, relaxed with PBE and copper Kα.
Intensities are scaled so that the largest is 100.

Main lines, by intensity (5 to 70 degrees two-theta):
d 2.804, 2θ 31.91, intensity 100; d 1.644, 2θ 55.92, intensity 48; d 1.790, 2θ 51.02, intensity 38; d 2.685, 2θ 33.37, intensity 31; d 5.370, 2θ 16.51, intensity 30; d 2.325, 2θ 38.72, intensity 28; d 1.402, 2θ 66.70, intensity 17; d 3.288, 2θ 27.12, intensity 14; d 1.418, 2θ 65.84, intensity 13; d 1.572, 2θ 58.73, intensity 7

Structural model:
Cell lengths 9.3013, 9.3013, 9.3013 Å; angles 90.00, 90.00, 90.00 degrees
Space group Fd-3m (No. 227, origin choice 2)
One atom of each set of equivalent atoms:
Zn  0.1250  0.1250  0.1250 [8 per cell]
Sn  0.0000  0.0000  0.5000 [16 per cell]
O  0.0047  0.0047  0.7453 [32 per cell]

---

10.
Diffraction record for ReH3. The X-ray diffraction stick pattern is simulated, not measured: it uses a crystal structure in the Materials Project, relaxed with PBE and copper Kα.
Intensities are scaled so that the largest is 100.

Main lines, by intensity (5 to 70 degrees two-theta):
d 2.309, 2θ 39.02, intensity 100; d 3.812, 2θ 23.33, intensity 62; d 2.201, 2θ 41.00, intensity 58; d 1.593, 2θ 57.88, intensity 33; d 1.906, 2θ 47.71, intensity 10; d 1.441, 2θ 64.69, intensity 8; d 1.356, 2θ 69.32, intensity 6; d 1.450, 2θ 64.22, intensity 5

Structural model:
Cell lengths 4.4022, 4.4022, 2.9008 Å; angles 90.00, 90.00, 120.00 degrees
Space group P6_3/mmc (No. 194)
One atom of each set of equivalent atoms:
Re  0.3333  0.6667  0.2500 [2 per cell]
H  0.1659  0.3317  0.7500 [6 per cell]

---

11.
Diffraction record for Mg3Au. The X-ray diffraction stick pattern is simulated, not measured: it uses a crystal structure in the Materials Project, relaxed with PBE and copper Kα.
Intensities are scaled so that the largest is 100.

Main lines, by intensity (5 to 70 degrees two-theta):
d 2.342, 2θ 38.43, intensity 100; d 3.672, 2θ 24.24, intensity 94; d 4.295, 2θ 20.68, intensity 35; d 2.058, 2θ 43.99, intensity 34; d 4.062, 2θ 21.88, intensity 24; d 1.353, 2θ 69.45, intensity 23; d 1.583, 2θ 58.28, intensity 22; d 1.976, 2θ 45.92, intensity 19; d 1.657, 2θ 55.47, intensity 18; d 1.511, 2θ 61.34, intensity 18

Structural model:
Cell lengths 8.1239, 8.1239, 8.5898 Å; angles 90.00, 90.00, 120.00 degrees
Space group P-3c1 (No. 165)
One atom of each set of equivalent atoms:
Mg  0.0000  0.0000  0.2500 [2 per cell]
Mg  0.0539  0.3663  0.4217 [12 per cell]
Mg  0.3333  0.6667  0.1843 [4 per cell]
Au  0.0000  0.3398  0.7500 [6 per cell]